The following is a computed powder diffraction line list of Ir4Os2Rh5. It was derived from a GGA-PBE-relaxed structure, using Cu Kα X-rays.
No peak broadening, texture or thermal motion is included.

Atomic structure:
Lattice parameters (Å, degrees): 9.0476 9.0476 6.6777 104.26 104.26 17.32
Atoms (fractional coordinates):
Ir: 0.0448 0.0448 0.3665
Ir: 0.3173 0.3173 0.5411
Ir: 0.6827 0.6827 0.4589
Ir: 0.9552 0.9552 0.6335
Os: 0.4085 0.4085 0.2742
Os: 0.5915 0.5915 0.7258
Rh: 0.1341 0.1341 0.0873
Rh: 0.2258 0.2258 0.8177
Rh: 0.5000 0.5000 0.0000
Rh: 0.7742 0.7742 0.1823
Rh: 0.8659 0.8659 0.9127

Largest 8 diffraction maxima, by angle, 2θ = 10–90°:
d/Å  intensity
6.467  11
2.226  100
1.928  49
1.363  31
1.163  3
1.162  35
1.114  3
1.113  8